(1)
# AcYBeN3
Computed powder XRD pattern, Cu Kα. Input: DFT lattice parameters and positions (PBE).
Neutral-atom scattering factors, no anomalous dispersion.

Most intense lines, 5° ≤ 2θ ≤ 70°, in order of rising 2θ:
2θ/deg	intensity
19.39	382
24.54	288
25.08	301
25.37	620
28.79	1000
30.06	358
31.41	355
35.89	532
36.28	541
47.66	307

```
data_AcYBeN3
_chemical_formula_sum 'Ac2 Y2 Be2 N6'
_cell_length_a 7.1904
_cell_length_b 3.4561
_cell_length_c 7.4304
_cell_angle_alpha 90.00
_cell_angle_beta 102.44
_cell_angle_gamma 90.00
_symmetry_space_group_name_H-M 'P 1 21/m 1'
_symmetry_Int_Tables_number 11
loop_
_symmetry_equiv_pos_as_xyz
'x,y,z'
'-x,-y,-z'
'-x,y+1/2,-z'
'x,-y+1/2,z'
loop_
_atom_site_label
_atom_site_type_symbol
_atom_site_fract_x
_atom_site_fract_y
_atom_site_fract_z
_atom_site_occupancy
Ac1 Ac 0.2248 0.2500 0.1831 1
Y1 Y 0.1754 0.2500 0.6545 1
Be1 Be 0.3953 0.7500 0.9269 1
N1 N 0.1532 0.7500 0.8825 1
N2 N 0.1626 0.7500 0.4241 1
N3 N 0.4786 0.2500 0.8535 1
```

***

(2)
# Ce4PaRu5
Computed powder XRD pattern, Cu Kα. Input: DFT lattice parameters and positions (PBE).
Neutral-atom scattering factors, no anomalous dispersion.

Most intense lines, 5° ≤ 2θ ≤ 70°, in order of rising 2θ:
2θ/deg	intensity
13.86	104
27.58	291
31.30	1000
33.24	154
36.17	201
38.91	198
39.65	183
43.95	195
44.85	326
46.30	359

```
data_Ce4PaRu5
_chemical_formula_sum 'Ce8 Pa2 Ru10'
_cell_length_a 9.0379
_cell_length_b 9.0379
_cell_length_c 5.3906
_cell_angle_alpha 90.00
_cell_angle_beta 90.00
_cell_angle_gamma 90.00
_symmetry_space_group_name_H-M 'I 4'
_symmetry_Int_Tables_number 79
loop_
_symmetry_equiv_pos_as_xyz
'x,y,z'
'-y,x,z'
'-x,-y,z'
'y,-x,z'
'x+1/2,y+1/2,z+1/2'
'-y+1/2,x+1/2,z+1/2'
'-x+1/2,-y+1/2,z+1/2'
'y+1/2,-x+1/2,z+1/2'
loop_
_atom_site_label
_atom_site_type_symbol
_atom_site_fract_x
_atom_site_fract_y
_atom_site_fract_z
_atom_site_occupancy
Ce1 Ce 0.1064 0.6831 0.0000 1
Pa1 Pa 0.0000 0.0000 0.7135 1
Ru1 Ru 0.0000 0.0000 0.1434 1
Ru2 Ru 0.0808 0.7486 0.4664 1
```

***

(3)
# CsTeH2F8
Computed powder XRD pattern, Cu Kα. Input: DFT lattice parameters and positions (PBE).
Neutral-atom scattering factors, no anomalous dispersion.

Most intense lines, 5° ≤ 2θ ≤ 70°, in order of rising 2θ:
2θ/deg	intensity
18.60	1000
18.71	928
21.18	753
21.34	954
25.46	378
27.77	499
28.20	295
29.04	328
30.92	728
35.04	353

```
data_CsTeH2F8
_chemical_formula_sum 'Cs1 Te1 H2 F8'
_cell_length_a 5.0586
_cell_length_b 5.1800
_cell_length_c 8.5478
_cell_angle_alpha 79.19
_cell_angle_beta 88.62
_cell_angle_gamma 69.76
_symmetry_space_group_name_H-M 'P -1'
_symmetry_Int_Tables_number 2
loop_
_symmetry_equiv_pos_as_xyz
'x,y,z'
'-x,-y,-z'
loop_
_atom_site_label
_atom_site_type_symbol
_atom_site_fract_x
_atom_site_fract_y
_atom_site_fract_z
_atom_site_occupancy
Cs1 Cs 0.0000 0.0000 0.0000 1
Te1 Te 0.0000 0.0000 0.5000 1
H1 H 0.4660 0.3148 0.2156 1
F1 F 0.2285 0.2390 0.4870 1
F2 F 0.2338 0.8025 0.3410 1
F3 F 0.2501 0.7344 0.6866 1
F4 F 0.3465 0.3359 0.1236 1
```